(1)
Structure and calculated powder X-ray diffraction pattern of ZnHgAs2 (a cell relaxed with GGA-PBE; Cu Kα (λ = 1.5418 Å)).
Lines closer than 0.1° are merged.

Peak list (10 most intense, 2θ = 15–90°, by intensity)
2θ/deg	Rel. int.
35.44	100
40.74	52
25.35	34
16.82	30
34.02	28
36.48	27
59.92	24
75.01	20
50.74	18
53.08	17

Crystal structure
```
4
Lattice="1.5438 0.8913 10.5400 -1.5438 0.8913 10.5400 0.0000 -1.7826 10.5400" Properties=species:S:1:pos:R:3 pbc="T T T"
Zn 0.0000 0.0000 0.0000
Hg 0.0000 0.0000 15.8101
As 0.0000 0.0000 8.5402
As 0.0000 0.0000 23.0800
```

=====

(2)
Structure and calculated powder X-ray diffraction pattern of Tm9Sc4Al11 (a cell relaxed with GGA-PBE; Cu Kα (λ = 1.5418 Å)).
Lines closer than 0.1° are merged.

Peak list (10 most intense, 2θ = 15–90°, by intensity)
2θ/deg	Rel. int.
34.62	100
35.34	70
27.52	51
38.65	50
44.77	48
21.74	41
26.60	31
44.33	28
16.85	25
68.25	25

Crystal structure
```
24
Lattice="8.1755 -10.0515 0.0000 8.1755 10.0515 0.0000 0.0000 0.0000 3.2419" Properties=species:S:1:pos:R:3 pbc="T T T"
Tm 0.0000 0.0000 0.0000
Tm 6.3515 5.1742 0.0000
Tm 6.1199 1.7186 0.0000
Tm 9.9995 5.1742 0.0000
Tm 6.1199 -1.7186 0.0000
Tm 10.2310 1.7186 0.0000
Tm 6.3515 -5.1742 0.0000
Tm 10.2310 -1.7186 0.0000
Tm 9.9995 -5.1742 0.0000
Sc 2.5351 1.7573 0.0000
Sc 2.5351 -1.7573 0.0000
Sc 13.8159 1.7573 0.0000
Sc 13.8159 -1.7573 0.0000
Al 4.1627 3.6391 1.6209
Al 8.1755 7.3617 1.6209
Al 4.1788 0.0000 1.6209
Al 8.1755 3.2420 1.6209
Al 4.1627 -3.6391 1.6209
Al 8.1755 0.0000 1.6209
Al 12.1882 3.6391 1.6209
Al 8.1755 -3.2420 1.6209
Al 12.1722 0.0000 1.6209
Al 8.1755 -7.3617 1.6209
Al 12.1882 -3.6391 1.6209
```